Record 1
Structure and computed XRD peak list of Er12Tm5Th (a PBE-relaxed structure; copper Kα).

Structural model:
```
data_Er12Tm5Th
_cell_length_a 17.0321
_cell_length_b 10.6444
_cell_length_c 6.1330
_cell_angle_alpha 90.00
_cell_angle_beta 96.92
_cell_angle_gamma 90.00
_space_group_name_H-M_alt 'C 1 m 1'
_space_group_IT_number 8
_space_group_name_Hall 'C -2y'
loop_
_atom_site_label
_atom_site_fract_x
_atom_site_fract_y
_atom_site_fract_z
Er1 0.0000 0.1653 0.0000
Er2 0.0009 0.3347 0.5026
Er3 0.1662 0.1662 0.3903
Er4 0.1671 0.3343 0.8911
Er5 0.3348 0.1657 0.7799
Er6 0.3347 0.3329 0.2820
Tm1 0.9998 0.0000 0.5019
Tm2 0.0005 0.5000 0.0077
Tm3 0.1667 0.0000 0.8929
Tm4 0.1684 0.5000 0.3922
Tm5 0.3343 0.5000 0.7808
Th1 0.3344 0.0000 0.2809
```

Top 10 peaks for 2θ from 5° to 70°, in order of rising 2θ:
two_theta	I/Imax
29.3	37
29.9	16
31.8	50
32.4	100
34.1	89
51.6	39
55.8	21
59.2	19
61.8	45
62.2	16

=====

Record 2
Structure and computed XRD peak list of MgSiPt2 (a PBE-relaxed structure; copper Kα).

Structural model:
```
data_MgSiPt2
_cell_length_a 6.7489
_cell_length_b 6.9739
_cell_length_c 5.4506
_cell_angle_alpha 90.00
_cell_angle_beta 90.00
_cell_angle_gamma 90.00
_space_group_name_H-M_alt 'P n m a'
_space_group_IT_number 62
_space_group_name_Hall '-P 2ac 2n'
loop_
_atom_site_label
_atom_site_fract_x
_atom_site_fract_y
_atom_site_fract_z
Mg1 0.0039 0.2500 0.0896
Si1 0.1181 0.2500 0.5849
Pt1 0.1757 0.5466 0.3567
```

Top 10 peaks for 2θ from 5° to 70°, in order of rising 2θ:
two_theta	I/Imax
20.9	41
25.5	81
26.4	43
31.2	73
35.5	100
37.1	43
40.7	64
43.5	42
44.3	95
44.4	35

=====

Record 3
Structure and computed XRD peak list of NaTl7In2 (a PBE-relaxed structure; copper Kα).

Structural model:
```
data_NaTl7In2
_cell_length_a 5.2565
_cell_length_b 5.2565
_cell_length_c 13.0635
_cell_angle_alpha 90.00
_cell_angle_beta 90.00
_cell_angle_gamma 120.00
_space_group_name_H-M_alt 'P 3 m 1'
_space_group_IT_number 156
_space_group_name_Hall 'P 3 -2"'
loop_
_atom_site_label
_atom_site_fract_x
_atom_site_fract_y
_atom_site_fract_z
Na1 0.0000 0.0000 0.0000
Tl1 0.0000 0.0000 0.2769
Tl2 0.0000 0.0000 0.7005
Tl3 0.3333 0.6667 0.0980
Tl4 0.3333 0.6667 0.3621
Tl5 0.3333 0.6667 0.8387
Tl6 0.6667 0.3333 0.5034
Tl7 0.6667 0.3333 0.9048
In1 0.3333 0.6667 0.6013
In2 0.6667 0.3333 0.1802
```

Top 10 peaks for 2θ from 5° to 70°, in order of rising 2θ:
two_theta	I/Imax
23.8	40
28.4	50
33.8	65
34.1	100
44.9	15
48.8	23
53.0	13
57.6	14
60.9	25
61.1	19

=====

Record 4
Structure and computed XRD peak list of NaLaYSbO6 (a PBE-relaxed structure; copper Kα).

Structural model:
```
data_NaLaYSbO6
_cell_length_a 8.3273
_cell_length_b 8.3273
_cell_length_c 8.3273
_cell_angle_alpha 90.00
_cell_angle_beta 90.00
_cell_angle_gamma 90.00
_space_group_name_H-M_alt 'F -4 3 m'
_space_group_IT_number 216
_space_group_name_Hall 'F -4 2 3'
loop_
_atom_site_label
_atom_site_fract_x
_atom_site_fract_y
_atom_site_fract_z
Na1 0.0000 0.0000 0.0000
La1 0.0000 0.0000 0.5000
Y1 0.2500 0.2500 0.2500
Sb1 0.2500 0.2500 0.7500
O1 0.0125 0.2500 0.7500
```

Top 10 peaks for 2θ from 5° to 70°, in order of rising 2θ:
two_theta	I/Imax
18.5	27
21.3	8
30.4	100
35.8	15
43.5	35
47.6	7
53.9	40
57.5	5
63.2	21
66.4	5

=====

Record 5
Structure and computed XRD peak list of MgTaCr2 (a PBE-relaxed structure; copper Kα).

Structural model:
```
data_MgTaCr2
_cell_length_a 3.0524
_cell_length_b 4.5485
_cell_length_c 8.8287
_cell_angle_alpha 90.00
_cell_angle_beta 90.00
_cell_angle_gamma 90.00
_space_group_name_H-M_alt 'C m m 2'
_space_group_IT_number 35
_space_group_name_Hall 'C 2 -2'
loop_
_atom_site_label
_atom_site_fract_x
_atom_site_fract_y
_atom_site_fract_z
Mg1 0.0000 0.0000 0.0000
Ta1 0.0000 0.5000 0.7028
Cr1 0.0000 0.0000 0.4559
Cr2 0.0000 0.5000 0.2626
```

Top 10 peaks for 2θ from 5° to 70°, in order of rising 2θ:
two_theta	I/Imax
10.0	100
20.1	27
30.4	14
35.4	15
36.9	21
39.6	23
40.9	22
41.1	74
47.3	15
64.3	10